Record 1
# Cd3RuO6
Simulated X-ray powder pattern, Cu Kα X-rays. Input: a structure optimized by DFT (GGA-PBE).

Cell and atoms:
```
data_Cd3RuO6
_chemical_formula_sum 'Cd18 Ru6 O36'
_cell_length_a 9.2641
_cell_length_b 9.2641
_cell_length_c 11.2076
_cell_angle_alpha 90.00
_cell_angle_beta 90.00
_cell_angle_gamma 120.00
_space_group_name_H-M_alt 'R -3'
_space_group_IT_number 148
_space_group_name_Hall '-R 3'
loop_
_atom_site_label
_atom_site_type_symbol
_atom_site_fract_x
_atom_site_fract_y
_atom_site_fract_z
Cd1 Cd 0.0361 0.2620 0.2128
Ru1 Ru 0.0000 0.0000 0.0000
Ru2 Ru 0.0000 0.0000 0.5000
O1 O 0.0179 0.1768 0.8929
O2 O 0.0281 0.1870 0.4055
```

Most intense lines, 2θ from 10° to 80°, low angle first:
hkl 0 0 3, d 3.736, I 32; hkl 2 0 2, d 3.262, I 39; hkl 2 1 1, d 2.927, I 100; hkl 1 1 3, d 2.908, I 52; hkl 3 -2 2, d 2.668, I 82; hkl 2 1 4, d 2.058, I 30; hkl 1 4 0, d 1.750, I 37; hkl 2 -1 6, d 1.732, I 23

***

Record 2
# CdRu2O6
Simulated X-ray powder pattern, Cu Kα X-rays. Input: a structure optimized by DFT (GGA-PBE).

Cell and atoms:
```
data_CdRu2O6
_chemical_formula_sum 'Cd1 Ru2 O6'
_cell_length_a 5.2518
_cell_length_b 5.2518
_cell_length_c 4.7362
_cell_angle_alpha 90.00
_cell_angle_beta 90.00
_cell_angle_gamma 120.00
_space_group_name_H-M_alt 'P -3 1 m'
_space_group_IT_number 162
_space_group_name_Hall '-P 3 2'
loop_
_atom_site_label
_atom_site_type_symbol
_atom_site_fract_x
_atom_site_fract_y
_atom_site_fract_z
Cd1 Cd 0.0000 0.0000 0.0000
Ru1 Ru 0.3333 0.6667 0.5000
O1 O 0.0000 0.3739 0.7204
```

Most intense lines, 2θ from 10° to 80°, low angle first:
hkl 0 0 1, d 4.736, I 11; hkl 1 0 1, d 3.280, I 100; hkl 1 1 0, d 2.626, I 42; hkl 2 -1 1, d 2.297, I 10; hkl 2 0 1, d 2.050, I 24; hkl 2 -1 2, d 1.759, I 43; hkl 3 -1 1, d 1.616, I 24; hkl 3 0 0, d 1.516, I 15

***

Record 3
# Cd2Ru2O7
Simulated X-ray powder pattern, Cu Kα X-rays. Input: a structure optimized by DFT (GGA-PBE).

Cell and atoms:
abc: 10.2564 10.2564 10.2564
angles: 90.00 90.00 90.00
Space group Fd-3m (No. 227, origin choice 2)
One atom of each set of equivalent atoms:
Cd 0.0000 0.0000 0.0000
Ru 0.0000 0.0000 0.5000
O 0.0689 0.3750 0.8750
O 0.1250 0.1250 0.1250

Most intense lines, 2θ from 10° to 80°, low angle first:
hkl 2 2 2, d 2.961, I 100; hkl 4 0 0, d 2.564, I 32; hkl 3 3 1, d 2.353, I 3; hkl 3 3 3, d 1.974, I 1; hkl 4 4 0, d 1.813, I 44; hkl 6 2 2, d 1.546, I 41; hkl 4 4 4, d 1.480, I 10; hkl 8 0 0, d 1.282, I 6

***

Record 4
# CdRuO4
Simulated X-ray powder pattern, Cu Kα X-rays. Input: a structure optimized by DFT (GGA-PBE).

Cell and atoms:
```
data_CdRuO4
_chemical_formula_sum 'Cd2 Ru2 O8'
_cell_length_a 3.7786
_cell_length_b 3.7786
_cell_length_c 12.3054
_cell_angle_alpha 90.00
_cell_angle_beta 90.00
_cell_angle_gamma 90.00
_space_group_name_H-M_alt 'I -4 m 2'
_space_group_IT_number 119
_space_group_name_Hall 'I -4 -2'
loop_
_atom_site_label
_atom_site_type_symbol
_atom_site_fract_x
_atom_site_fract_y
_atom_site_fract_z
Cd1 Cd 0.0000 0.0000 0.0000
Ru1 Ru 0.0000 0.5000 0.2500
O1 O 0.0000 0.0000 0.2426
O2 O 0.0000 0.5000 0.0909
```

Most intense lines, 2θ from 10° to 80°, low angle first:
hkl 1 0 1, d 3.612, I 100; hkl 0 0 4, d 3.076, I 30; hkl 1 0 3, d 2.779, I 30; hkl 1 1 2, d 2.451, I 36; hkl 1 0 5, d 2.062, I 20; hkl 2 0 0, d 1.889, I 21; hkl 2 1 1, d 1.674, I 20; hkl 2 0 4, d 1.610, I 17